For Ac2TaSe5, a structure optimized by DFT (GGA-PBE) gives the computed powder XRD pattern in this record (Cu Kα).
Peak positions follow from Bragg's law for the DFT cell and can differ from measured ones.

Cell and atoms:
Cell: 6.727 6.727 6.727 Å, 113.23 113.23 102.20°
Element x y z (fractional)
Ac 0.000 0.500 0.500
Ac 0.500 0.000 0.500
Ta 0.180 0.180 0.000
Se 0.000 0.000 0.521
Se 0.000 0.480 0.000
Se 0.480 0.000 0.000
Se 0.480 0.480 0.479
Se 0.909 0.909 0.000

Main lines, low angle first (15° ≤ 2θ ≤ 90°):
| 2θ (°) | intensity |
| --- | --- |
| 15.92 | 48.2 |
| 24.04 | 32.3 |
| 27.12 | 93.1 |
| 32.15 | 100.0 |
| 34.26 | 95.0 |
| 44.23 | 50.4 |
| 49.23 | 34.0 |
| 60.02 | 32.7 |

---

For Ac2TbYSe4, a structure optimized by DFT (GGA-PBE) gives the computed powder XRD pattern in this record (Cu Kα).
Peak positions follow from Bragg's law for the DFT cell and can differ from measured ones.

Cell and atoms:
Cell: 7.236 4.157 7.739 Å, 90.00 108.05 90.00°
Element x y z (fractional)
Ac 0.000 0.000 0.000
Ac 0.500 0.500 0.000
Tb 0.000 0.500 0.500
Y 0.500 0.000 0.500
Se 0.240 0.000 0.721
Se 0.261 0.500 0.280
Se 0.739 0.500 0.720
Se 0.760 0.000 0.279

Main lines, low angle first (15° ≤ 2θ ≤ 90°):
| 2θ (°) | intensity |
| --- | --- |
| 26.01 | 12.5 |
| 29.57 | 100.0 |
| 41.10 | 12.9 |
| 41.22 | 25.7 |
| 43.37 | 24.0 |
| 43.54 | 11.9 |
| 53.50 | 12.8 |
| 61.39 | 11.9 |

---

For Ac3TeSe2, a structure optimized by DFT (GGA-PBE) gives the computed powder XRD pattern in this record (Cu Kα).
Peak positions follow from Bragg's law for the DFT cell and can differ from measured ones.

Cell and atoms:
Cell: 7.935 7.935 11.717 Å, 90.00 90.00 145.17°
Element x y z (fractional)
Ac 0.100 0.900 0.750
Ac 0.358 0.642 0.553
Ac 0.358 0.642 0.947
Ac 0.642 0.358 0.053
Ac 0.642 0.358 0.447
Ac 0.900 0.100 0.250
Te 0.240 0.760 0.250
Te 0.760 0.240 0.750
Se 0.000 0.000 0.000
Se 0.000 0.000 0.500
Se 0.483 0.517 0.750
Se 0.517 0.483 0.250

Main lines, low angle first (15° ≤ 2θ ≤ 90°):
| 2θ (°) | intensity |
| --- | --- |
| 24.84 | 29.9 |
| 25.69 | 90.1 |
| 26.87 | 74.9 |
| 30.00 | 100.0 |
| 30.52 | 28.9 |
| 37.88 | 38.6 |
| 46.32 | 28.7 |
| 46.83 | 29.2 |

---

For Ac5ThSe6, a structure optimized by DFT (GGA-PBE) gives the computed powder XRD pattern in this record (Cu Kα).
Peak positions follow from Bragg's law for the DFT cell and can differ from measured ones.

Cell and atoms:
Cell: 7.645 7.645 7.689 Å, 99.61 99.61 120.18°
Element x y z (fractional)
Ac 0.000 0.000 0.000
Ac 0.166 0.834 0.500
Ac 0.329 0.671 0.000
Ac 0.671 0.329 0.000
Ac 0.834 0.166 0.500
Th 0.500 0.500 0.500
Se 0.096 0.420 0.258
Se 0.260 0.260 0.748
Se 0.420 0.096 0.258
Se 0.580 0.904 0.742
Se 0.740 0.740 0.252
Se 0.904 0.580 0.742

Main lines, low angle first (15° ≤ 2θ ≤ 90°):
| 2θ (°) | intensity |
| --- | --- |
| 24.64 | 31.0 |
| 28.57 | 100.0 |
| 40.70 | 26.0 |
| 40.86 | 25.6 |
| 40.97 | 25.4 |
| 50.59 | 13.8 |
| 59.14 | 13.1 |
| 67.01 | 11.9 |

---

For Ac2Th2Se7, a structure optimized by DFT (GGA-PBE) gives the computed powder XRD pattern in this record (Cu Kα).
Peak positions follow from Bragg's law for the DFT cell and can differ from measured ones.

Cell and atoms:
Cell: 9.248 9.248 9.248 Å, 152.56 68.16 118.98°
Element x y z (fractional)
Ac 0.237 0.000 0.237
Ac 0.763 0.000 0.763
Th 0.257 0.257 0.000
Th 0.710 0.210 0.500
Se 0.081 0.709 0.372
Se 0.337 0.709 0.628
Se 0.425 0.530 0.895
Se 0.620 0.300 0.320
Se 0.636 0.530 0.105
Se 0.932 0.932 0.000
Se 0.981 0.300 0.680

Main lines, low angle first (15° ≤ 2θ ≤ 90°):
| 2θ (°) | intensity |
| --- | --- |
| 22.21 | 70.4 |
| 22.37 | 34.9 |
| 23.23 | 25.5 |
| 25.25 | 44.1 |
| 32.47 | 100.0 |
| 37.19 | 50.9 |
| 40.20 | 36.0 |
| 41.17 | 40.5 |

---

For Ac2ThSe3, a structure optimized by DFT (GGA-PBE) gives the computed powder XRD pattern in this record (Cu Kα).
Peak positions follow from Bragg's law for the DFT cell and can differ from measured ones.

Cell and atoms:
Cell: 4.243 4.243 22.849 Å, 90.00 90.00 120.00°
Element x y z (fractional)
Ac 0.333 0.667 0.086
Ac 0.333 0.667 0.414
Ac 0.667 0.333 0.586
Ac 0.667 0.333 0.914
Th 0.000 0.000 0.250
Th 0.000 0.000 0.750
Se 0.000 0.000 0.000
Se 0.000 0.000 0.500
Se 0.333 0.667 0.672
Se 0.333 0.667 0.828
Se 0.667 0.333 0.172
Se 0.667 0.333 0.328

Main lines, low angle first (15° ≤ 2θ ≤ 90°):
| 2θ (°) | intensity |
| --- | --- |
| 25.46 | 26.3 |
| 26.94 | 89.1 |
| 28.89 | 100.0 |
| 31.23 | 28.7 |
| 36.83 | 33.0 |
| 39.98 | 40.0 |
| 42.61 | 69.4 |
| 65.92 | 37.0 |